Simulated X-ray diffraction stick pattern
Compound: TmNi4B
Radiation: copper Kα
Structure: DFT lattice parameters and positions (GGA-PBE)

Atomic structure:
Unit cell a=4.9300 b=4.9300 c=6.9400 alpha=90.00 beta=90.00 gamma=120.00
Space group P6/mmm (No. 191)
Inequivalent atoms, fractional coordinates:
Tm1 0.0000 0.0000 0.0000 x1
Tm2 0.0000 0.0000 0.5000 x1
Ni1 0.0000 0.5000 0.2085 x6
Ni2 0.3333 0.6667 0.5000 x2
B1 0.3333 0.6667 0.0000 x2

Principal peaks in the range 2θ = 5–70°, by angle:
2theta  I_rel  h k l
20.81  17  1 0 0
33.27  94  1 0 2
36.45  32  1 1 0
38.77  10  1 1 1
38.93  11  0 0 3
42.34  73  2 0 0
44.40  7  2 0 1
45.12  100  1 1 2
52.76  13  0 0 4
63.59  29  2 1 2
65.83  16  1 1 4
69.86  16  2 0 4


Simulated X-ray diffraction stick pattern
Compound: TmNiB4
Radiation: copper Kα
Structure: DFT lattice parameters and positions (GGA-PBE)

Atomic structure:
Unit cell a=5.8791 b=11.3933 c=3.3911 alpha=90.00 beta=90.00 gamma=90.00
Space group Pbam (No. 55)
Inequivalent atoms, fractional coordinates:
Tm1 0.1272 0.1503 0.0000 x4
Ni1 0.1339 0.4117 0.0000 x4
B1 0.0214 0.6920 0.5000 x4
B2 0.1134 0.5478 0.5000 x4
B3 0.1374 0.9671 0.5000 x4
B4 0.2150 0.8150 0.5000 x4

Principal peaks in the range 2θ = 5–70°, by angle:
2theta  I_rel  h k l
21.72  23  1 2 0
26.28  67  0 0 1
27.97  30  1 3 0
31.42  91  0 4 0
34.35  19  1 2 1
35.01  17  1 4 0
38.75  46  1 3 1
41.41  100  0 4 1
44.30  23  1 4 1
47.42  21  2 3 1
50.69  16  2 5 0
63.89  28  0 4 2


Simulated X-ray diffraction stick pattern
Compound: Tm3Ni13B2
Radiation: copper Kα
Structure: DFT lattice parameters and positions (GGA-PBE)

Atomic structure:
Unit cell a=4.9202 b=4.9202 c=10.9328 alpha=90.00 beta=90.00 gamma=120.00
Space group P6/mmm (No. 191)
Inequivalent atoms, fractional coordinates:
Tm1 0.0000 0.0000 0.0000 x1
Tm2 0.0000 0.0000 0.3262 x2
Ni1 0.0000 0.5000 0.1339 x6
Ni2 0.0000 0.5000 0.5000 x3
Ni3 0.3333 0.6667 0.3198 x4
B1 0.3333 0.6667 0.0000 x2

Principal peaks in the range 2θ = 5–70°, by angle:
2theta  I_rel  h k l
20.85  10  1 0 0
32.32  79  1 0 3
36.52  34  1 1 0
40.20  8  1 1 2
41.29  10  0 0 5
42.43  59  2 0 0
44.43  100  1 1 3
50.06  15  0 0 6
63.11  23  2 1 3
63.54  15  1 1 6
65.75  6  3 0 0
67.66  15  2 0 6


Simulated X-ray diffraction stick pattern
Compound: U2Ni21B6
Radiation: copper Kα
Structure: DFT lattice parameters and positions (GGA-PBE)

Atomic structure:
Unit cell a=10.6318 b=10.6318 c=10.6318 alpha=90.00 beta=90.00 gamma=90.00
Space group Fm-3m (No. 225)
Inequivalent atoms, fractional coordinates:
U1 0.2500 0.2500 0.2500 x8
Ni1 0.0000 0.0000 0.0000 x4
Ni2 0.0000 0.1702 0.1702 x48
Ni3 0.1145 0.1145 0.3855 x32
B1 0.0000 0.0000 0.2654 x24

Principal peaks in the range 2θ = 5–70°, by angle:
2theta  I_rel  h k l
16.68  45  2 0 0
23.67  37  2 2 0
29.10  7  2 2 2
37.84  100  4 2 0
41.61  91  4 2 2
44.27  91  3 3 3
48.43  47  4 4 0
50.81  23  5 3 1
51.58  4  6 0 0
54.59  19  6 2 0
57.50  30  6 2 2
65.72  13  6 4 2


Simulated X-ray diffraction stick pattern
Compound: V2Ni21B6
Radiation: copper Kα
Structure: DFT lattice parameters and positions (GGA-PBE)

Atomic structure:
Unit cell a=10.4265 b=10.4265 c=10.4265 alpha=90.00 beta=90.00 gamma=90.00
Space group Fm-3m (No. 225)
Inequivalent atoms, fractional coordinates:
V1 0.2500 0.2500 0.2500 x8
Ni1 0.0000 0.0000 0.0000 x4
Ni2 0.0000 0.1702 0.1702 x48
Ni3 0.1184 0.1184 0.3816 x32
B1 0.0000 0.0000 0.2684 x24

Principal peaks in the range 2θ = 5–70°, by angle:
2theta  I_rel  h k l
24.14  1  2 2 0
28.39  2  3 1 1
29.68  4  2 2 2
34.41  7  4 0 0
38.62  18  4 2 0
42.47  24  4 2 2
45.19  100  3 3 3
49.45  19  4 4 0
51.88  27  5 3 1
52.67  15  6 0 0
58.00  3  5 3 3
58.74  6  6 2 2


Simulated X-ray diffraction stick pattern
Compound: NiB2W2
Radiation: copper Kα
Structure: DFT lattice parameters and positions (GGA-PBE)

Atomic structure:
Unit cell a=3.2007 b=4.5890 c=7.1146 alpha=90.00 beta=90.00 gamma=90.00
Space group Immm (No. 71)
Inequivalent atoms, fractional coordinates:
Ni1 0.0000 0.0000 0.0000 x2
B1 0.0000 0.2022 0.5000 x4
W1 0.0000 0.5000 0.1998 x4

Principal peaks in the range 2θ = 5–70°, by angle:
2theta  I_rel  h k l
25.03  34  0 0 2
30.63  25  1 0 1
34.15  60  1 1 0
39.26  42  0 2 0
42.81  100  1 1 2
42.93  48  0 1 3
47.13  17  0 2 2
47.73  17  1 0 3
50.60  17  1 2 1
57.60  15  2 0 0
63.46  12  1 2 3
67.91  10  1 3 0


Simulated X-ray diffraction stick pattern
Compound: YNi12B6
Radiation: copper Kα
Structure: DFT lattice parameters and positions (GGA-PBE)

Atomic structure:
Unit cell a=9.5688 b=7.3538 c=10.9547 alpha=90.00 beta=90.00 gamma=90.00
Space group Cmc2_1 (No. 36)
Inequivalent atoms, fractional coordinates:
Y1 0.0000 0.1646 0.0000 x4
Ni1 0.0000 0.2176 0.6026 x4
Ni2 0.0000 0.4358 0.4230 x4
Ni3 0.1304 0.3255 0.2369 x8
Ni4 0.1304 0.3432 0.7797 x8
Ni5 0.1316 0.0138 0.7588 x8
Ni6 0.1827 0.1868 0.4403 x8
Ni7 0.1948 0.4649 0.5715 x8
B1 0.0000 0.1639 0.3420 x4
B2 0.0000 0.4890 0.6556 x4
B3 0.2064 0.1955 0.6261 x8
B4 0.2154 0.4584 0.3882 x8

Principal peaks in the range 2θ = 5–70°, by angle:
2theta  I_rel  h k l
32.70  24  0 0 4
34.76  25  3 1 2
34.86  30  2 2 2
39.50  61  3 1 3
41.17  85  4 0 2
41.45  100  1 3 2
44.16  39  1 1 5
45.40  44  2 2 4
49.78  33  3 3 2
49.95  31  0 0 6
58.21  23  3 3 4
61.47  30  5 3 0


Simulated X-ray diffraction stick pattern
Compound: YNi12B6
Radiation: copper Kα
Structure: DFT lattice parameters and positions (GGA-PBE)

Atomic structure:
Unit cell a=9.4920 b=9.4920 c=7.3959 alpha=90.00 beta=90.00 gamma=120.00
Space group R-3m (No. 166, hexagonal axes)
Inequivalent atoms, fractional coordinates:
Y1 0.0000 0.0000 0.0000 x3
Ni1 0.0000 0.3690 0.5000 x18
Ni2 0.0887 0.1774 0.3649 x18
B1 0.0456 0.5228 0.2889 x18

Principal peaks in the range 2θ = 5–70°, by angle:
2theta  I_rel  h k l
16.12  11  1 0 1
32.57  33  2 0 2
32.68  25  3 0 0
41.27  52  1 1 3
41.44  100  1 3 1
46.81  17  3 1 2
49.75  39  3 0 3
50.60  7  1 0 4
50.85  20  0 4 2
58.33  20  3 3 0
61.75  20  5 0 2
64.21  8  1 4 3


Simulated X-ray diffraction stick pattern
Compound: Y3Ni19B10
Radiation: copper Kα
Structure: DFT lattice parameters and positions (GGA-PBE)

Atomic structure:
Unit cell a=13.1355 b=8.7021 c=5.7709 alpha=90.00 beta=91.26 gamma=90.00
Space group C2/m (No. 12)
Inequivalent atoms, fractional coordinates:
Y1 0.0000 0.0000 0.0000 x2
Y2 0.1252 0.5000 0.3840 x4
Ni1 0.0000 0.0000 0.5000 x2
Ni2 0.0299 0.2597 0.6984 x8
Ni3 0.1221 0.5000 0.8723 x4
Ni4 0.1274 0.2494 0.0726 x8
Ni5 0.1624 0.0000 0.7027 x4
Ni6 0.1821 0.0000 0.2708 x4
Ni7 0.2191 0.2638 0.6978 x8
B1 0.0000 0.3846 0.0000 x4
B2 0.1179 0.1822 0.4303 x8
B3 0.2460 0.1042 0.9757 x8

Principal peaks in the range 2θ = 5–70°, by angle:
2theta  I_rel  h k l
34.22  23  4 2 0
35.71  36  5 1 0
37.43  26  4 2 -1
37.96  28  4 2 1
38.41  47  3 1 -2
40.18  80  2 2 2
41.51  100  0 4 0
46.41  40  4 2 -2
46.65  29  5 3 0
47.27  49  4 2 2
48.87  43  3 3 -2
49.51  29  6 2 1


Simulated X-ray diffraction stick pattern
Compound: Y3Ni7B2
Radiation: copper Kα
Structure: DFT lattice parameters and positions (GGA-PBE)

Atomic structure:
Unit cell a=5.0786 b=5.0786 c=14.2566 alpha=90.00 beta=90.00 gamma=120.00
Space group P6_3/mmc (No. 194)
Inequivalent atoms, fractional coordinates:
Y1 0.3333 0.6667 0.0308 x4
Y2 0.3333 0.6667 0.2500 x2
Ni1 0.0000 0.0000 0.0000 x2
Ni2 0.1656 0.3312 0.6504 x12
B1 0.0000 0.0000 0.2500 x2
B2 0.3333 0.6667 0.7500 x2

Principal peaks in the range 2θ = 5–70°, by angle:
2theta  I_rel  h k l
32.33  11  1 0 4
35.35  23  1 1 0
37.60  100  1 0 5
37.86  16  0 0 6
41.04  21  2 0 0
41.55  85  2 0 1
43.28  8  1 0 6
43.77  84  1 1 4
45.45  6  2 0 3
62.12  6  2 0 7
64.93  35  2 1 5
69.30  20  3 0 4